1.
Diffraction record for KZrCu3Se4. The powder X-ray diffraction pattern is calculated, not measured: it uses a DFT-relaxed cell (GGA-PBE, the Materials Project) and a wavelength of 1.5418 Å.
Kinematic intensities with the Lorentz-polarization factor, no thermal factor.

```
data_KZrCu3Se4
_symmetry_space_group_name_H-M 'P -4 3 m'
_symmetry_Int_Tables_number 215
_symmetry_space_group_name_Hall 'P -4 2 3'
_cell_length_a 6.210
_cell_length_b 6.210
_cell_length_c 6.210
_cell_angle_alpha 90.00
_cell_angle_beta 90.00
_cell_angle_gamma 90.00
loop_
_atom_site_label
_atom_site_type_symbol
_atom_site_fract_x
_atom_site_fract_y
_atom_site_fract_z
K1 K 0.000 0.000 0.000
Zr1 Zr 0.500 0.500 0.500
Cu1 Cu 0.000 0.500 0.500
Se1 Se 0.269 0.269 0.731
```

Main lines, by angle (2θ = 10–90°):
(1 0 0), 14.26°, rel. 44
(1 1 1), 24.83°, rel. 77
(2 2 0), 41.11°, rel. 100
(2 2 1), 43.73°, rel. 10
(3 1 1), 48.63°, rel. 33
(3 2 0), 53.18°, rel. 12
(4 0 0), 59.55°, rel. 15
(3 3 1), 65.52°, rel. 11
(4 2 2), 74.91°, rel. 28
(4 4 0), 89.22°, rel. 9



2.
Diffraction record for KCu4As2. The powder X-ray diffraction pattern is calculated, not measured: it uses a DFT-relaxed cell (GGA-PBE, the Materials Project) and a wavelength of 1.5418 Å.
Kinematic intensities with the Lorentz-polarization factor, no thermal factor.

```
data_KCu4As2
_symmetry_space_group_name_H-M 'R -3 m'
_symmetry_Int_Tables_number 166
_symmetry_space_group_name_Hall '-R 3 2"'
_cell_length_a 4.1256
_cell_length_b 4.1256
_cell_length_c 25.9814
_cell_angle_alpha 90.00
_cell_angle_beta 90.00
_cell_angle_gamma 120.00
loop_
_atom_site_label
_atom_site_type_symbol
_atom_site_fract_x
_atom_site_fract_y
_atom_site_fract_z
K1 K 0.0000 0.0000 0.0000
Cu1 Cu 0.0000 0.0000 0.1455
Cu2 Cu 0.0000 0.0000 0.4459
As1 As 0.0000 0.0000 0.2416
```

Main lines, by angle (2θ = 10–90°):
(0 0 3), 10.21°, rel. 100
(0 0 9), 30.98°, rel. 9
(1 0 7), 34.85°, rel. 25
(1 0 10), 43.05°, rel. 36
(1 1 0), 43.89°, rel. 58
(1 1 3), 45.19°, rel. 16
(1 0 13), 52.46°, rel. 12
(1 1 9), 54.69°, rel. 10
(0 2 10), 63.16°, rel. 11
(2 1 10), 80.09°, rel. 11



3.
Diffraction record for Co5Ge2N6. The powder X-ray diffraction pattern is calculated, not measured: it uses a DFT-relaxed cell (GGA-PBE, the Materials Project) and a wavelength of 1.5418 Å.
Kinematic intensities with the Lorentz-polarization factor, no thermal factor.

```
data_Co5Ge2N6
_symmetry_space_group_name_H-M 'C 1 2/c 1'
_symmetry_Int_Tables_number 15
_cell_length_a 11.416
_cell_length_b 4.719
_cell_length_c 11.660
_cell_angle_alpha 90.00
_cell_angle_beta 112.15
_cell_angle_gamma 90.00
loop_
_symmetry_equiv_pos_as_xyz
'x,y,z'
'-x,-y,-z'
'-x,y,-z+1/2'
'x,-y,z+1/2'
'x+1/2,y+1/2,z'
'-x+1/2,-y+1/2,-z'
'-x+1/2,y+1/2,-z+1/2'
'x+1/2,-y+1/2,z+1/2'
loop_
_atom_site_label
_atom_site_type_symbol
_atom_site_fract_x
_atom_site_fract_y
_atom_site_fract_z
Co1 Co 0.000 0.096 0.250
Co2 Co 0.093 0.134 0.470
Co3 Co 0.110 0.436 0.851
Ge1 Ge 0.167 0.410 0.083
N1 N 0.034 0.374 0.149
N2 N 0.145 0.054 0.857
N3 N 0.216 0.015 0.103
```

Main lines, by angle (2θ = 10–90°):
(2 0 -2), 18.54°, rel. 53
(1 1 1), 23.37°, rel. 30
(1 1 -3), 29.80°, rel. 30
(2 0 -4), 31.00°, rel. 51
(4 0 -2), 31.58°, rel. 85
(3 1 0), 31.69°, rel. 43
(2 2 -1), 41.46°, rel. 100
(1 1 4), 42.14°, rel. 90
(1 1 -5), 43.91°, rel. 37
(3 1 3), 46.49°, rel. 32



4.
Diffraction record for Rb2CoI4. The powder X-ray diffraction pattern is calculated, not measured: it uses a DFT-relaxed cell (GGA-PBE, the Materials Project) and a wavelength of 1.5418 Å.
Kinematic intensities with the Lorentz-polarization factor, no thermal factor.

```
data_Rb2CoI4
_symmetry_space_group_name_H-M 'P 1 21/m 1'
_symmetry_Int_Tables_number 11
_cell_length_a 7.823
_cell_length_b 8.260
_cell_length_c 10.551
_cell_angle_alpha 90.00
_cell_angle_beta 109.40
_cell_angle_gamma 90.00
loop_
_symmetry_equiv_pos_as_xyz
'x,y,z'
'-x,-y,-z'
'-x,y+1/2,-z'
'x,-y+1/2,z'
loop_
_atom_site_label
_atom_site_type_symbol
_atom_site_fract_x
_atom_site_fract_y
_atom_site_fract_z
Rb1 Rb 0.200 0.250 0.038
Rb2 Rb 0.297 0.250 0.586
Co1 Co 0.197 0.750 0.786
I1 I 0.015 0.001 0.277
I2 I 0.360 0.750 0.044
I3 I 0.413 0.750 0.647
```

Main lines, by angle (2θ = 10–90°):
(1 0 2), 24.69°, rel. 100
(2 0 -2), 24.81°, rel. 52
(0 0 3), 26.92°, rel. 35
(2 1 -2), 27.09°, rel. 24
(1 2 -2), 28.10°, rel. 75
(2 2 0), 32.54°, rel. 28
(1 0 -4), 33.99°, rel. 22
(2 2 2), 41.27°, rel. 23
(0 4 0), 43.87°, rel. 28
(3 2 -4), 47.86°, rel. 20



5.
Diffraction record for Nb4CuSe8. The powder X-ray diffraction pattern is calculated, not measured: it uses a DFT-relaxed cell (GGA-PBE, the Materials Project) and a wavelength of 1.5418 Å.
Kinematic intensities with the Lorentz-polarization factor, no thermal factor.

```
data_Nb4CuSe8
_symmetry_space_group_name_H-M 'C 1 2/m 1'
_symmetry_Int_Tables_number 12
_cell_length_a 26.892
_cell_length_b 3.508
_cell_length_c 6.072
_cell_angle_alpha 90.00
_cell_angle_beta 102.87
_cell_angle_gamma 90.00
loop_
_symmetry_equiv_pos_as_xyz
'x,y,z'
'-x,-y,-z'
'-x,y,-z'
'x,-y,z'
'x+1/2,y+1/2,z'
'-x+1/2,-y+1/2,-z'
'-x+1/2,y+1/2,-z'
'x+1/2,-y+1/2,z'
loop_
_atom_site_label
_atom_site_type_symbol
_atom_site_fract_x
_atom_site_fract_y
_atom_site_fract_z
Nb1 Nb 0.124 0.000 0.115
Nb2 Nb 0.125 0.500 0.636
Cu1 Cu 0.000 0.000 0.000
Se1 Se 0.059 0.000 0.720
Se2 Se 0.061 0.500 0.235
Se3 Se 0.187 0.500 0.355
Se4 Se 0.190 0.000 0.857
```

Main lines, by angle (2θ = 10–90°):
(4 0 0), 13.51°, rel. 46
(4 0 -2), 30.21°, rel. 70
(3 1 1), 32.49°, rel. 40
(5 1 1), 36.00°, rel. 39
(7 1 1), 40.48°, rel. 100
(10 0 -2), 40.57°, rel. 23
(0 2 0), 52.16°, rel. 57
(16 0 0), 56.13°, rel. 15
(4 0 4), 67.98°, rel. 12
(10 2 -2), 68.11°, rel. 13



6.
Diffraction record for Mg5Al2Se8. The powder X-ray diffraction pattern is calculated, not measured: it uses a DFT-relaxed cell (GGA-PBE, the Materials Project) and a wavelength of 1.5418 Å.
Kinematic intensities with the Lorentz-polarization factor, no thermal factor.

```
data_Mg5Al2Se8
_symmetry_space_group_name_H-M 'P 1'
_symmetry_Int_Tables_number 1
_cell_length_a 9.761
_cell_length_b 9.860
_cell_length_c 17.074
_cell_angle_alpha 85.84
_cell_angle_beta 88.05
_cell_angle_gamma 86.20
loop_
_symmetry_equiv_pos_as_xyz
'x,y,z'
loop_
_atom_site_label
_atom_site_type_symbol
_atom_site_fract_x
_atom_site_fract_y
_atom_site_fract_z
Mg1 Mg 0.000 0.000 0.000
Mg2 Mg 0.001 0.094 0.548
Mg3 Mg 0.016 0.327 0.747
Mg4 Mg 0.036 0.301 0.152
Mg5 Mg 0.069 0.775 0.404
Mg6 Mg 0.085 0.760 0.197
Mg7 Mg 0.131 0.326 0.362
Mg8 Mg 0.142 0.332 0.929
Mg9 Mg 0.167 0.713 0.877
Mg10 Mg 0.467 0.672 0.688
Mg11 Mg 0.487 0.258 0.157
Mg12 Mg 0.528 0.331 0.694
Mg13 Mg 0.529 0.302 0.886
Mg14 Mg 0.540 0.789 0.367
Mg15 Mg 0.543 0.575 0.984
Mg16 Mg 0.579 0.504 0.550
Mg17 Mg 0.671 0.868 0.560
Mg18 Mg 0.690 0.264 0.376
Mg19 Mg 0.694 0.800 0.096
Mg20 Mg 0.977 0.787 0.674
Al1 Al 0.182 0.004 0.282
Al2 Al 0.261 0.030 0.756
Al3 Al 0.364 0.945 0.034
Al4 Al 0.394 0.026 0.491
Al5 Al 0.749 0.542 0.767
Al6 Al 0.770 0.525 0.246
Al7 Al 0.831 0.542 0.990
Al8 Al 0.906 0.479 0.512
Se1 Se 0.037 0.084 0.700
Se2 Se 0.129 0.515 0.455
Se3 Se 0.162 0.978 0.118
Se4 Se 0.179 0.080 0.427
Se5 Se 0.204 0.544 0.998
Se6 Se 0.228 0.778 0.733
Se7 Se 0.235 0.961 0.909
Se8 Se 0.258 0.230 0.236
Se9 Se 0.288 0.276 0.798
Se10 Se 0.297 0.779 0.307
Se11 Se 0.361 0.216 0.574
Se12 Se 0.385 0.350 0.017
Se13 Se 0.421 0.783 0.535
Se14 Se 0.448 0.728 0.087
Se15 Se 0.486 0.065 0.671
Se16 Se 0.516 0.566 0.836
Se17 Se 0.555 0.092 0.042
Se18 Se 0.556 0.410 0.262
Se19 Se 0.605 0.023 0.417
Se20 Se 0.701 0.761 0.246
Se21 Se 0.702 0.792 0.716
Se22 Se 0.724 0.597 0.433
Se23 Se 0.736 0.283 0.786
Se24 Se 0.793 0.267 0.522
Se25 Se 0.847 0.814 0.971
Se26 Se 0.905 0.312 0.293
Se27 Se 0.932 0.854 0.530
Se28 Se 0.935 0.524 0.650
Se29 Se 0.937 0.257 0.017
Se30 Se 0.949 0.563 0.139
Se31 Se 0.954 0.930 0.289
Se32 Se 0.956 0.539 0.851
```

Main lines, by angle (2θ = 10–90°):
(1 1 0), 12.39°, rel. 30
(0 0 4), 20.84°, rel. 54
(-2 1 3), 26.10°, rel. 42
(2 2 2), 26.35°, rel. 44
(1 1 5), 28.18°, rel. 39
(2 0 -4), 28.30°, rel. 100
(3 1 1), 28.59°, rel. 31
(0 4 0), 36.63°, rel. 48
(2 0 -6), 37.16°, rel. 32
(4 -1 5), 47.01°, rel. 27



7.
Diffraction record for La5MgRe3O16. The powder X-ray diffraction pattern is calculated, not measured: it uses a DFT-relaxed cell (GGA-PBE, the Materials Project) and a wavelength of 1.5418 Å.
Kinematic intensities with the Lorentz-polarization factor, no thermal factor.

```
data_La5MgRe3O16
_symmetry_space_group_name_H-M 'P -1'
_symmetry_Int_Tables_number 2
_cell_length_a 5.675
_cell_length_b 5.677
_cell_length_c 10.263
_cell_angle_alpha 93.37
_cell_angle_beta 93.43
_cell_angle_gamma 90.72
loop_
_symmetry_equiv_pos_as_xyz
'x,y,z'
'-x,-y,-z'
loop_
_atom_site_label
_atom_site_type_symbol
_atom_site_fract_x
_atom_site_fract_y
_atom_site_fract_z
La1 La 0.000 0.000 0.000
La2 La 0.034 0.508 0.705
La3 La 0.485 0.973 0.303
Mg1 Mg 0.500 0.500 0.500
Re1 Re 0.000 0.000 0.500
Re2 Re 0.443 0.444 0.106
O1 O 0.071 0.079 0.684
O2 O 0.191 0.281 0.463
O3 O 0.222 0.220 0.176
O4 O 0.224 0.696 0.134
O5 O 0.298 0.802 0.501
O6 O 0.299 0.770 0.864
O7 O 0.310 0.305 0.935
O8 O 0.458 0.455 0.698
```

Main lines, by angle (2θ = 10–90°):
(0 1 -1), 17.43°, rel. 26
(0 1 1), 18.35°, rel. 46
(0 1 -2), 22.72°, rel. 29
(-1 1 1), 23.69°, rel. 26
(1 -1 2), 28.16°, rel. 88
(1 1 2), 29.61°, rel. 69
(0 2 0), 31.59°, rel. 100
(1 1 -3), 33.15°, rel. 33
(2 -2 0), 44.89°, rel. 39
(1 3 2), 55.89°, rel. 29